[1]
Structure and simulated powder diffractogram of BaLaCo2 (a DFT-relaxed cell (PBE, Alexandria); copper Kα).
No peak broadening, texture or thermal motion is included.

Largest 10 diffraction maxima, sorted by position, 2θ = 15–90°:
- 25.45°, I = 83, hkl 1 0 2
- 27.15°, I = 32, hkl 0 0 4
- 29.38°, I = 100, hkl 0 1 3
- 31.02°, I = 95, hkl 1 1 1
- 36.69°, I = 72, hkl 1 1 3
- 42.82°, I = 31, hkl 0 2 0
- 43.79°, I = 29, hkl 2 0 0
- 46.95°, I = 34, hkl 1 0 6
- 50.47°, I = 26, hkl 1 2 2
- 53.61°, I = 36, hkl 2 1 3

Cell and atoms:
```
data_BaLaCo2
_space_group_name_H-M_alt 'A m m 2'
_space_group_IT_number 38
_cell_length_a 4.135
_cell_length_b 4.224
_cell_length_c 13.139
_cell_angle_alpha 90.00
_cell_angle_beta 90.00
_cell_angle_gamma 90.00
loop_
_space_group_symop_operation_xyz
'x,y,z'
'-x,-y,z'
'-x,y,z'
'x,-y,z'
'x,y+1/2,z+1/2'
'-x,-y+1/2,z+1/2'
'-x,y+1/2,z+1/2'
'x,-y+1/2,z+1/2'
loop_
_atom_site_label
_atom_site_type_symbol
_atom_site_fract_x
_atom_site_fract_y
_atom_site_fract_z
_atom_site_occupancy
Ba1 Ba 0.000 0.000 0.000 1
La1 La 0.500 0.000 0.743 1
Co1 Co 0.000 0.000 0.310 1
Co2 Co 0.500 0.000 0.372 1
```

[2]
Structure and simulated powder diffractogram of BaLa3Co (a DFT-relaxed cell (PBE, Alexandria); copper Kα).
No peak broadening, texture or thermal motion is included.

Largest 10 diffraction maxima, sorted by position, 2θ = 15–90°:
- 15.84°, I = 12, hkl 0 1 2
- 18.95°, I = 9, hkl 1 0 4
- 27.10°, I = 100, hkl 2 -1 3
- 31.40°, I = 80, hkl 1 1 6
- 44.99°, I = 57, hkl 3 0 0
- 53.32°, I = 45, hkl 2 2 3
- 55.89°, I = 19, hkl 4 -2 6
- 74.46°, I = 23, hkl 4 1 6
- 83.01°, I = 13, hkl 5 -1 12
- 89.35°, I = 11, hkl 3 3 9

Cell and atoms:
```
data_BaLa3Co
_space_group_name_H-M_alt 'R -3'
_space_group_IT_number 148
_space_group_name_Hall '-R 3'
_cell_length_a 6.9759
_cell_length_b 6.9759
_cell_length_c 29.6399
_cell_angle_alpha 90.00
_cell_angle_beta 90.00
_cell_angle_gamma 120.00
loop_
_atom_site_label
_atom_site_type_symbol
_atom_site_fract_x
_atom_site_fract_y
_atom_site_fract_z
_atom_site_occupancy
Ba1 Ba 0.0000 0.0000 0.1675 1
La1 La 0.0040 0.6796 0.3843 1
Co1 Co 0.0000 0.0000 0.3328 1
```

Repeat the second record exactly.
Structure and simulated powder diffractogram of BaLa3Co (a DFT-relaxed cell (PBE, Alexandria); copper Kα).
No peak broadening, texture or thermal motion is included.

Largest 10 diffraction maxima, sorted by position, 2θ = 15–90°:
- 15.84°, I = 12, hkl 0 1 2
- 18.95°, I = 9, hkl 1 0 4
- 27.10°, I = 100, hkl 2 -1 3
- 31.40°, I = 80, hkl 1 1 6
- 44.99°, I = 57, hkl 3 0 0
- 53.32°, I = 45, hkl 2 2 3
- 55.89°, I = 19, hkl 4 -2 6
- 74.46°, I = 23, hkl 4 1 6
- 83.01°, I = 13, hkl 5 -1 12
- 89.35°, I = 11, hkl 3 3 9

Cell and atoms:
```
data_BaLa3Co
_space_group_name_H-M_alt 'R -3'
_space_group_IT_number 148
_space_group_name_Hall '-R 3'
_cell_length_a 6.9759
_cell_length_b 6.9759
_cell_length_c 29.6399
_cell_angle_alpha 90.00
_cell_angle_beta 90.00
_cell_angle_gamma 120.00
loop_
_atom_site_label
_atom_site_type_symbol
_atom_site_fract_x
_atom_site_fract_y
_atom_site_fract_z
_atom_site_occupancy
Ba1 Ba 0.0000 0.0000 0.1675 1
La1 La 0.0040 0.6796 0.3843 1
Co1 Co 0.0000 0.0000 0.3328 1
```